# 1
This entry pairs a crystal structure of PaCoTcH6 with its simulated powder diffractogram. Radiation: CuKα. Structure: DFT lattice parameters and positions (GGA-PBE).
Peak positions follow from Bragg's law for the DFT cell and can differ from measured ones.

Top 10 peaks for 2θ = 15–90°, by angle:
23.20°, I 22
31.45°, I 100
40.76°, I 39
42.64°, I 11
49.10°, I 7
52.37°, I 24
60.46°, I 25
68.41°, I 22
71.07°, I 10
89.54°, I 9

Atomic structure:
Cell: 4.427 4.427 4.241 Å, 90.00 90.00 120.00°
Fractional coordinates of all 9 atoms:
Pa (0.000, 0.000, 0.000)
Co (0.667, 0.333, 0.500)
Tc (0.333, 0.667, 0.500)
H (0.507, 0.014, 0.221)
H (0.507, 0.014, 0.779)
H (0.507, 0.493, 0.221)
H (0.507, 0.493, 0.779)
H (0.986, 0.493, 0.221)
H (0.986, 0.493, 0.779)

***

# 2
This entry pairs a crystal structure of TbHoTlHg with its simulated powder diffractogram. Radiation: CuKα. Structure: DFT lattice parameters and positions (GGA-PBE).
Peak positions follow from Bragg's law for the DFT cell and can differ from measured ones.

Top 8 peaks for 2θ = 15–90°, by angle:
23.66°, I 1
33.70°, I 100
41.59°, I 1
48.40°, I 18
54.56°, I 1
60.28°, I 38
70.87°, I 12
80.81°, I 17

Atomic structure:
Cell: 3.762 3.762 7.519 Å, 90.00 90.00 90.00°
Fractional coordinates of all 4 atoms:
Tb (0.000, 0.000, 0.000)
Ho (0.000, 0.000, 0.482)
Tl (0.500, 0.500, 0.739)
Hg (0.500, 0.500, 0.246)

***

# 3
This entry pairs a crystal structure of Th2TaP3Rh12 with its simulated powder diffractogram. Radiation: CuKα. Structure: DFT lattice parameters and positions (GGA-PBE).
Peak positions follow from Bragg's law for the DFT cell and can differ from measured ones.

Top 10 peaks for 2θ = 15–90°, by angle:
27.46°, I 29
32.02°, I 38
34.01°, I 82
34.35°, I 53
35.66°, I 16
40.91°, I 16
42.54°, I 100
54.63°, I 21
56.68°, I 16
63.06°, I 17

Atomic structure:
Cell: 7.031 7.031 7.031 Å, 74.37 74.37 74.37°
Fractional coordinates of all 18 atoms:
Th (0.109, 0.109, 0.109)
Th (0.891, 0.891, 0.891)
Ta (0.500, 0.500, 0.500)
P (0.000, 0.500, 0.500)
P (0.500, 0.000, 0.500)
P (0.500, 0.500, 0.000)
Rh (0.130, 0.654, 0.654)
Rh (0.174, 0.174, 0.592)
Rh (0.174, 0.592, 0.174)
Rh (0.346, 0.346, 0.870)
Rh (0.346, 0.870, 0.346)
Rh (0.408, 0.826, 0.826)
Rh (0.592, 0.174, 0.174)
Rh (0.654, 0.130, 0.654)
Rh (0.654, 0.654, 0.130)
Rh (0.826, 0.408, 0.826)
Rh (0.826, 0.826, 0.408)
Rh (0.870, 0.346, 0.346)

***

What did the third record say?
This entry pairs a crystal structure of Th2TaP3Rh12 with its simulated powder diffractogram. Radiation: CuKα. Structure: DFT lattice parameters and positions (GGA-PBE).
Peak positions follow from Bragg's law for the DFT cell and can differ from measured ones.

Top 10 peaks for 2θ = 15–90°, by angle:
27.46°, I 29
32.02°, I 38
34.01°, I 82
34.35°, I 53
35.66°, I 16
40.91°, I 16
42.54°, I 100
54.63°, I 21
56.68°, I 16
63.06°, I 17

Atomic structure:
Cell: 7.031 7.031 7.031 Å, 74.37 74.37 74.37°
Fractional coordinates of all 18 atoms:
Th (0.109, 0.109, 0.109)
Th (0.891, 0.891, 0.891)
Ta (0.500, 0.500, 0.500)
P (0.000, 0.500, 0.500)
P (0.500, 0.000, 0.500)
P (0.500, 0.500, 0.000)
Rh (0.130, 0.654, 0.654)
Rh (0.174, 0.174, 0.592)
Rh (0.174, 0.592, 0.174)
Rh (0.346, 0.346, 0.870)
Rh (0.346, 0.870, 0.346)
Rh (0.408, 0.826, 0.826)
Rh (0.592, 0.174, 0.174)
Rh (0.654, 0.130, 0.654)
Rh (0.654, 0.654, 0.130)
Rh (0.826, 0.408, 0.826)
Rh (0.826, 0.826, 0.408)
Rh (0.870, 0.346, 0.346)